Simulated X-ray powder pattern
Compound: TaGa2H
Radiation: Cu Kα (weighted mean of Kα1 and Kα2)
Structure: a GGA-PBE-relaxed structure

Principal peaks in the range 2θ from 10° to 80°, low angle first:
d_spacing  2theta  I (rel.)
6.619  13.38  66
2.794  32.03  39
2.649  33.84  39
2.505  35.84  78
2.221  40.62  100
2.206  40.90  41
2.127  42.51  26
2.058  44.01  19
1.487  62.47  24
1.295  73.06  21

Crystal structure
abc: 4.996 3.385 6.682
angles: 90.00 97.89 90.00
Space group Cm (No. 8)
Asymmetric unit:
Ta 0.000 0.000 0.000 x2
Ga 0.070 0.500 0.681 x2
Ga 0.275 0.500 0.353 x2
H 0.376 0.000 0.089 x2